1.
The following is a calculated XRD peak list of Pr4AsRhCl2. It was derived from a structure optimized by DFT (PBE), using CuKα.

Atomic structure:
```
data_Pr4AsRhCl2
_chemical_formula_sum 'Pr4 As1 Rh1 Cl2'
_cell_length_a 7.4184
_cell_length_b 4.1209
_cell_length_c 7.6220
_cell_angle_alpha 90.00
_cell_angle_beta 107.82
_cell_angle_gamma 90.00
_space_group_name_H-M_alt 'P 1 2/m 1'
_space_group_IT_number 10
_space_group_name_Hall '-P 2y'
loop_
_atom_site_label
_atom_site_fract_x
_atom_site_fract_y
_atom_site_fract_z
_atom_site_occupancy
Pr1 0.2141 0.0000 0.2229 1
Pr2 0.2262 0.5000 0.7473 1
As1 0.0000 0.0000 0.5000 1
Rh1 0.0000 0.5000 0.0000 1
Cl1 0.5000 0.0000 0.0000 1
Cl2 0.5000 0.5000 0.5000 1
```

Top 10 peaks for 2θ = 5–70°, in order of rising 2θ:
| Position (°2θ) | d/Å | Rel. int. |
| --- | --- | --- |
| 12.53 | 7.062 | 27 |
| 26.13 | 3.410 | 20 |
| 29.41 | 3.037 | 53 |
| 29.61 | 3.017 | 100 |
| 40.75 | 2.214 | 17 |
| 41.79 | 2.162 | 40 |
| 42.65 | 2.120 | 33 |
| 43.94 | 2.060 | 18 |
| 50.27 | 1.815 | 13 |
| 53.76 | 1.705 | 19 |

2.
The following is a calculated XRD peak list of AsPt2Cl. It was derived from a structure optimized by DFT (PBE), using CuKα.

Atomic structure:
```
data_AsPt2Cl
_chemical_formula_sum 'As3 Pt6 Cl3'
_cell_length_a 3.8955
_cell_length_b 3.8955
_cell_length_c 20.2228
_cell_angle_alpha 90.00
_cell_angle_beta 90.00
_cell_angle_gamma 120.00
_space_group_name_H-M_alt 'R 3 m'
_space_group_IT_number 160
_space_group_name_Hall 'R 3 -2"'
loop_
_atom_site_label
_atom_site_fract_x
_atom_site_fract_y
_atom_site_fract_z
_atom_site_occupancy
As1 0.0000 0.0000 0.0000 1
Pt1 0.0000 0.0000 0.2954 1
Pt2 0.0000 0.0000 0.5565 1
Cl1 0.0000 0.0000 0.8241 1
```

Top 10 peaks for 2θ = 5–70°, in order of rising 2θ:
| Position (°2θ) | d/Å | Rel. int. |
| --- | --- | --- |
| 13.13 | 6.741 | 100 |
| 26.79 | 3.328 | 17 |
| 31.89 | 2.806 | 78 |
| 41.14 | 2.194 | 36 |
| 44.80 | 2.023 | 17 |
| 46.63 | 1.948 | 35 |
| 48.66 | 1.871 | 24 |
| 57.05 | 1.614 | 14 |
| 57.61 | 1.600 | 15 |
| 63.91 | 1.457 | 10 |

3.
The following is a calculated XRD peak list of Rb3AsCl8. It was derived from a structure optimized by DFT (PBE), using CuKα.

Atomic structure:
```
data_Rb3AsCl8
_chemical_formula_sum 'Rb6 As2 Cl16'
_cell_length_a 7.4210
_cell_length_b 7.4210
_cell_length_c 14.7780
_cell_angle_alpha 90.00
_cell_angle_beta 90.00
_cell_angle_gamma 90.00
_space_group_name_H-M_alt 'I 4/m m m'
_space_group_IT_number 139
_space_group_name_Hall '-I 4 2'
loop_
_atom_site_label
_atom_site_fract_x
_atom_site_fract_y
_atom_site_fract_z
_atom_site_occupancy
Rb1 0.0000 0.0000 0.0000 1
Rb2 0.0000 0.5000 0.2500 1
As1 0.0000 0.0000 0.5000 1
Cl1 0.2105 0.2105 0.3934 1
```

Top 10 peaks for 2θ = 5–70°, in order of rising 2θ:
| Position (°2θ) | d/Å | Rel. int. |
| --- | --- | --- |
| 20.76 | 4.278 | 89 |
| 34.23 | 2.620 | 100 |
| 40.32 | 2.237 | 28 |
| 40.46 | 2.230 | 14 |
| 49.11 | 1.855 | 9 |
| 53.86 | 1.702 | 7 |
| 53.97 | 1.699 | 15 |
| 61.23 | 1.514 | 15 |
| 61.38 | 1.510 | 8 |
| 65.37 | 1.428 | 10 |

4.
The following is a calculated XRD peak list of Rb8As2Cl. It was derived from a structure optimized by DFT (PBE), using CuKα.

Atomic structure:
```
data_Rb8As2Cl
_chemical_formula_sum 'Rb16 As4 Cl2'
_cell_length_a 21.8350
_cell_length_b 5.4797
_cell_length_c 9.5796
_cell_angle_alpha 90.00
_cell_angle_beta 95.14
_cell_angle_gamma 90.00
_space_group_name_H-M_alt 'C 1 2/m 1'
_space_group_IT_number 12
_space_group_name_Hall '-C 2y'
loop_
_atom_site_label
_atom_site_fract_x
_atom_site_fract_y
_atom_site_fract_z
_atom_site_occupancy
Rb1 0.0359 0.0000 0.3137 1
Rb2 0.1140 0.5000 0.0537 1
Rb3 0.1781 0.5000 0.4825 1
Rb4 0.2137 0.0000 0.8458 1
As1 0.1893 0.0000 0.2311 1
Cl1 0.0000 0.5000 0.5000 1
```

Top 10 peaks for 2θ = 5–70°, in order of rising 2θ:
| Position (°2θ) | d/Å | Rel. int. |
| --- | --- | --- |
| 8.13 | 10.874 | 43 |
| 12.88 | 6.873 | 44 |
| 24.81 | 3.589 | 100 |
| 26.16 | 3.407 | 33 |
| 27.15 | 3.284 | 65 |
| 28.46 | 3.136 | 68 |
| 31.17 | 2.869 | 34 |
| 32.68 | 2.740 | 55 |
| 33.14 | 2.703 | 45 |
| 51.19 | 1.784 | 28 |

5.
The following is a calculated XRD peak list of Rb2AsCl7. It was derived from a structure optimized by DFT (PBE), using CuKα.

Atomic structure:
```
data_Rb2AsCl7
_chemical_formula_sum 'Rb8 As4 Cl28'
_cell_length_a 10.7093
_cell_length_b 10.7093
_cell_length_c 10.7093
_cell_angle_alpha 90.00
_cell_angle_beta 90.00
_cell_angle_gamma 90.00
_space_group_name_H-M_alt 'F m -3 m'
_space_group_IT_number 225
_space_group_name_Hall '-F 4 2 3'
loop_
_atom_site_label
_atom_site_fract_x
_atom_site_fract_y
_atom_site_fract_z
_atom_site_occupancy
Rb1 0.2500 0.2500 0.2500 1
As1 0.0000 0.0000 0.0000 1
Cl1 0.0000 0.0000 0.2193 1
Cl2 0.0000 0.0000 0.5000 1
```

Top 10 peaks for 2θ = 5–70°, in order of rising 2θ:
| Position (°2θ) | d/Å | Rel. int. |
| --- | --- | --- |
| 14.32 | 6.183 | 30 |
| 23.50 | 3.786 | 100 |
| 28.88 | 3.092 | 55 |
| 33.47 | 2.677 | 92 |
| 41.30 | 2.186 | 38 |
| 48.06 | 1.893 | 56 |
| 54.17 | 1.693 | 27 |
| 57.04 | 1.614 | 15 |
| 59.83 | 1.546 | 17 |
| 65.19 | 1.431 | 26 |

6.
The following is a calculated XRD peak list of Rb2AsCl4. It was derived from a structure optimized by DFT (PBE), using CuKα.

Atomic structure:
```
data_Rb2AsCl4
_chemical_formula_sum 'Rb4 As2 Cl8'
_cell_length_a 7.6151
_cell_length_b 7.6151
_cell_length_c 8.7380
_cell_angle_alpha 90.00
_cell_angle_beta 90.00
_cell_angle_gamma 90.00
_space_group_name_H-M_alt 'I 4/m m m'
_space_group_IT_number 139
_space_group_name_Hall '-I 4 2'
loop_
_atom_site_label
_atom_site_fract_x
_atom_site_fract_y
_atom_site_fract_z
_atom_site_occupancy
Rb1 0.0000 0.5000 0.2500 1
As1 0.0000 0.0000 0.0000 1
Cl1 0.2332 0.2332 0.0000 1
```

Top 10 peaks for 2θ = 5–70°, in order of rising 2θ:
| Position (°2θ) | d/Å | Rel. int. |
| --- | --- | --- |
| 15.43 | 5.741 | 49 |
| 16.46 | 5.385 | 21 |
| 26.27 | 3.393 | 100 |
| 31.16 | 2.870 | 57 |
| 33.28 | 2.692 | 63 |
| 41.33 | 2.184 | 17 |
| 42.88 | 2.109 | 50 |
| 47.77 | 1.904 | 21 |
| 54.06 | 1.696 | 29 |
| 64.98 | 1.435 | 16 |

7.
The following is a calculated XRD peak list of Rb2AsRuCl6. It was derived from a structure optimized by DFT (PBE), using CuKα.

Atomic structure:
```
data_Rb2AsRuCl6
_chemical_formula_sum 'Rb4 As2 Ru2 Cl12'
_cell_length_a 7.1253
_cell_length_b 7.1253
_cell_length_c 10.2945
_cell_angle_alpha 90.00
_cell_angle_beta 90.00
_cell_angle_gamma 90.00
_space_group_name_H-M_alt 'I 4/m m m'
_space_group_IT_number 139
_space_group_name_Hall '-I 4 2'
loop_
_atom_site_label
_atom_site_fract_x
_atom_site_fract_y
_atom_site_fract_z
_atom_site_occupancy
Rb1 0.0000 0.5000 0.2500 1
As1 0.0000 0.0000 0.0000 1
Ru1 0.0000 0.0000 0.5000 1
Cl1 0.0000 0.0000 0.2614 1
Cl2 0.2432 0.2432 0.5000 1
```

Top 10 peaks for 2θ = 5–70°, in order of rising 2θ:
| Position (°2θ) | d/Å | Rel. int. |
| --- | --- | --- |
| 24.73 | 3.601 | 100 |
| 24.99 | 3.563 | 49 |
| 30.52 | 2.929 | 33 |
| 34.86 | 2.574 | 41 |
| 35.64 | 2.519 | 78 |
| 43.37 | 2.086 | 22 |
| 43.86 | 2.064 | 44 |
| 50.71 | 1.800 | 52 |
| 51.29 | 1.781 | 25 |
| 63.52 | 1.465 | 26 |

8.
The following is a calculated XRD peak list of Rb5AsSe4Cl2. It was derived from a structure optimized by DFT (PBE), using CuKα.

Atomic structure:
```
data_Rb5AsSe4Cl2
_chemical_formula_sum 'Rb10 As2 Se8 Cl4'
_cell_length_a 10.1291
_cell_length_b 11.6874
_cell_length_c 8.1764
_cell_angle_alpha 90.00
_cell_angle_beta 90.00
_cell_angle_gamma 90.00
_space_group_name_H-M_alt 'A m m 2'
_space_group_IT_number 38
_space_group_name_Hall 'A 2 -2'
loop_
_atom_site_label
_atom_site_fract_x
_atom_site_fract_y
_atom_site_fract_z
_atom_site_occupancy
Rb1 0.0000 0.0000 0.0000 1
Rb2 0.2527 0.1990 0.5160 1
As1 0.5000 0.0000 0.9938 1
Se1 0.3100 0.0000 0.1612 1
Se2 0.5000 0.1607 0.8209 1
Cl1 0.0000 0.2293 0.7682 1
```

Top 10 peaks for 2θ = 5–70°, in order of rising 2θ:
| Position (°2θ) | d/Å | Rel. int. |
| --- | --- | --- |
| 8.73 | 10.129 | 27 |
| 13.22 | 6.700 | 39 |
| 22.00 | 4.040 | 68 |
| 25.32 | 3.517 | 83 |
| 28.05 | 3.181 | 42 |
| 30.96 | 2.889 | 20 |
| 32.03 | 2.794 | 100 |
| 35.45 | 2.532 | 31 |
| 44.08 | 2.055 | 49 |
| 54.82 | 1.675 | 43 |

9.
The following is a calculated XRD peak list of RbTlTeAsCl. It was derived from a structure optimized by DFT (PBE), using CuKα.

Atomic structure:
```
data_RbTlTeAsCl
_chemical_formula_sum 'Rb2 Tl2 Te2 As2 Cl2'
_cell_length_a 19.4067
_cell_length_b 4.6712
_cell_length_c 4.5699
_cell_angle_alpha 90.00
_cell_angle_beta 103.59
_cell_angle_gamma 90.00
_space_group_name_H-M_alt 'C 1 m 1'
_space_group_IT_number 8
_space_group_name_Hall 'C -2y'
loop_
_atom_site_label
_atom_site_fract_x
_atom_site_fract_y
_atom_site_fract_z
_atom_site_occupancy
Rb1 0.0000 0.0000 0.0000 1
Tl1 0.2052 0.5000 0.7004 1
Te1 0.2671 0.0000 0.2619 1
As1 0.3398 0.0000 0.8344 1
Cl1 0.0370 0.5000 0.5369 1
```

Top 10 peaks for 2θ = 5–70°, in order of rising 2θ:
| Position (°2θ) | d/Å | Rel. int. |
| --- | --- | --- |
| 9.38 | 9.432 | 100 |
| 18.82 | 4.716 | 38 |
| 23.73 | 3.750 | 66 |
| 27.30 | 3.267 | 61 |
| 28.93 | 3.087 | 35 |
| 33.37 | 2.685 | 80 |
| 38.56 | 2.335 | 44 |
| 38.79 | 2.321 | 41 |
| 55.84 | 1.646 | 29 |
| 56.33 | 1.633 | 38 |

10.
The following is a calculated XRD peak list of AsRhCl2. It was derived from a structure optimized by DFT (PBE), using CuKα.

Atomic structure:
```
data_AsRhCl2
_chemical_formula_sum 'As2 Rh2 Cl4'
_cell_length_a 6.3600
_cell_length_b 3.6724
_cell_length_c 8.1122
_cell_angle_alpha 90.00
_cell_angle_beta 90.38
_cell_angle_gamma 90.00
_space_group_name_H-M_alt 'C 1 m 1'
_space_group_IT_number 8
_space_group_name_Hall 'C -2y'
loop_
_atom_site_label
_atom_site_fract_x
_atom_site_fract_y
_atom_site_fract_z
_atom_site_occupancy
As1 0.0000 0.0000 0.0000 1
Rh1 0.1655 0.5000 0.8654 1
Cl1 0.0022 0.0000 0.2676 1
Cl2 0.3306 0.0000 0.6820 1
```

Top 10 peaks for 2θ = 5–70°, in order of rising 2θ:
| Position (°2θ) | d/Å | Rel. int. |
| --- | --- | --- |
| 10.91 | 8.112 | 100 |
| 30.15 | 2.964 | 29 |
| 30.26 | 2.954 | 15 |
| 35.82 | 2.507 | 18 |
| 35.99 | 2.495 | 10 |
| 43.87 | 2.064 | 14 |
| 44.08 | 2.055 | 10 |
| 49.65 | 1.836 | 19 |
| 50.96 | 1.792 | 9 |
| 53.69 | 1.707 | 10 |

11.
The following is a calculated XRD peak list of Ti2AsRhCl. It was derived from a structure optimized by DFT (PBE), using CuKα.

Atomic structure:
```
data_Ti2AsRhCl
_chemical_formula_sum 'Ti2 As1 Rh1 Cl1'
_cell_length_a 4.8567
_cell_length_b 4.8567
_cell_length_c 4.4044
_cell_angle_alpha 90.00
_cell_angle_beta 90.00
_cell_angle_gamma 90.00
_space_group_name_H-M_alt 'P 4/m m m'
_space_group_IT_number 123
_space_group_name_Hall '-P 4 2'
loop_
_atom_site_label
_atom_site_fract_x
_atom_site_fract_y
_atom_site_fract_z
_atom_site_occupancy
Ti1 0.0000 0.5000 0.0000 1
As1 0.0000 0.0000 0.5000 1
Rh1 0.5000 0.5000 0.0000 1
Cl1 0.5000 0.5000 0.5000 1
```

Top 10 peaks for 2θ = 5–70°, in order of rising 2θ:
| Position (°2θ) | d/Å | Rel. int. |
| --- | --- | --- |
| 18.27 | 4.857 | 28 |
| 25.95 | 3.434 | 41 |
| 27.34 | 3.263 | 99 |
| 33.08 | 2.708 | 30 |
| 37.02 | 2.428 | 100 |
| 40.98 | 2.202 | 37 |
| 46.63 | 1.948 | 47 |
| 53.35 | 1.717 | 33 |
| 56.40 | 1.631 | 55 |
| 69.41 | 1.354 | 29 |

12.
The following is a calculated XRD peak list of AsSCl3. It was derived from a structure optimized by DFT (PBE), using CuKα.

Atomic structure:
```
data_AsSCl3
_chemical_formula_sum 'As2 S2 Cl6'
_cell_length_a 8.0492
_cell_length_b 8.0539
_cell_length_c 8.6020
_cell_angle_alpha 62.23
_cell_angle_beta 62.18
_cell_angle_gamma 60.07
_space_group_name_H-M_alt 'P 1'
_space_group_IT_number 1
_space_group_name_Hall 'P 1'
loop_
_atom_site_label
_atom_site_fract_x
_atom_site_fract_y
_atom_site_fract_z
_atom_site_occupancy
As1 0.0000 0.0000 0.0000 1
As2 0.4202 0.4206 0.7389 1
S1 0.6662 0.6652 0.0017 1
S2 0.7533 0.7542 0.7391 1
Cl1 0.0904 0.6740 0.1456 1
Cl2 0.0908 0.0908 0.1454 1
Cl3 0.3295 0.3298 0.5934 1
Cl4 0.3299 0.7467 0.5936 1
Cl5 0.6735 0.0908 0.1455 1
Cl6 0.7466 0.3302 0.5933 1
```

Top 10 peaks for 2θ = 5–70°, in order of rising 2θ:
| Position (°2θ) | d/Å | Rel. int. |
| --- | --- | --- |
| 12.21 | 7.247 | 30 |
| 15.09 | 5.871 | 100 |
| 20.72 | 4.287 | 86 |
| 22.07 | 4.027 | 49 |
| 24.57 | 3.624 | 23 |
| 25.30 | 3.520 | 63 |
| 25.87 | 3.444 | 44 |
| 32.92 | 2.721 | 62 |
| 40.76 | 2.214 | 29 |
| 45.03 | 2.013 | 40 |

13.
The following is a calculated XRD peak list of AsS2Cl2. It was derived from a structure optimized by DFT (PBE), using CuKα.

Atomic structure:
```
data_AsS2Cl2
_chemical_formula_sum 'As1 S2 Cl2'
_cell_length_a 5.6041
_cell_length_b 6.1889
_cell_length_c 6.9340
_cell_angle_alpha 110.94
_cell_angle_beta 111.88
_cell_angle_gamma 94.30
_space_group_name_H-M_alt 'P 1'
_space_group_IT_number 1
_space_group_name_Hall 'P 1'
loop_
_atom_site_label
_atom_site_fract_x
_atom_site_fract_y
_atom_site_fract_z
_atom_site_occupancy
As1 0.0000 0.0000 0.0000 1
S1 0.4412 0.2382 0.2082 1
S2 0.5501 0.2607 0.9778 1
Cl1 0.0015 0.9504 0.2987 1
Cl2 0.0751 0.6551 0.8128 1
```

Top 10 peaks for 2θ = 5–70°, in order of rising 2θ:
| Position (°2θ) | d/Å | Rel. int. |
| --- | --- | --- |
| 15.14 | 5.850 | 100 |
| 15.79 | 5.611 | 51 |
| 16.73 | 5.299 | 54 |
| 17.58 | 5.046 | 37 |
| 20.65 | 4.301 | 47 |
| 22.27 | 3.992 | 25 |
| 26.25 | 3.396 | 37 |
| 26.43 | 3.372 | 37 |
| 32.58 | 2.748 | 28 |
| 35.58 | 2.523 | 29 |

14.
The following is a calculated XRD peak list of AsS2Cl. It was derived from a structure optimized by DFT (PBE), using CuKα.

Atomic structure:
```
data_AsS2Cl
_chemical_formula_sum 'As4 S8 Cl4'
_cell_length_a 7.2784
_cell_length_b 5.2761
_cell_length_c 13.0500
_cell_angle_alpha 90.00
_cell_angle_beta 97.45
_cell_angle_gamma 90.00
_space_group_name_H-M_alt 'P 1 21/c 1'
_space_group_IT_number 14
_space_group_name_Hall '-P 2ybc'
loop_
_atom_site_label
_atom_site_fract_x
_atom_site_fract_y
_atom_site_fract_z
_atom_site_occupancy
As1 0.2243 0.1951 0.3973 1
S1 0.0290 0.6830 0.5268 1
S2 0.4711 0.1885 0.0172 1
Cl1 0.2343 0.5040 0.2819 1
```

Top 10 peaks for 2θ = 5–70°, in order of rising 2θ:
| Position (°2θ) | d/Å | Rel. int. |
| --- | --- | --- |
| 13.69 | 6.470 | 70 |
| 17.18 | 5.162 | 100 |
| 19.58 | 4.534 | 69 |
| 20.86 | 4.259 | 86 |
| 21.74 | 4.089 | 83 |
| 29.87 | 2.991 | 33 |
| 31.70 | 2.823 | 35 |
| 36.13 | 2.486 | 39 |
| 36.79 | 2.443 | 33 |
| 38.80 | 2.321 | 35 |